[1]
Computed X-ray diffraction stick pattern
Compound: Tb3HfTe6
Radiation: Cu Kα, 1.54184 Å
Structure: a GGA-PBE-relaxed structure

The 10 most intense peaks (10 to 80 degrees two-theta), by intensity:
2theta	I/Imax
31.9	100
38.0	45
22.5	33
24.6	21
17.3	21
37.9	17
45.7	16
20.0	15
42.0	15
48.2	13

abc: 8.864 8.864 8.864
angles: 89.76 89.76 89.76
Atoms (fractional coordinates):
Tb 0.085 0.234 0.580
Tb 0.234 0.580 0.085
Tb 0.420 0.915 0.766
Tb 0.580 0.085 0.234
Tb 0.766 0.420 0.915
Tb 0.915 0.766 0.420
Hf 0.000 0.000 0.000
Hf 0.500 0.500 0.500
Te 0.078 0.900 0.696
Te 0.100 0.304 0.922
Te 0.187 0.544 0.423
Te 0.304 0.922 0.100
Te 0.423 0.187 0.544
Te 0.456 0.577 0.813
Te 0.544 0.423 0.187
Te 0.577 0.813 0.456
Te 0.696 0.078 0.900
Te 0.813 0.456 0.577
Te 0.900 0.696 0.078
Te 0.922 0.100 0.304

=====

[2]
Computed X-ray diffraction stick pattern
Compound: TbHfTh
Radiation: Cu Kα, 1.54184 Å
Structure: a GGA-PBE-relaxed structure

The 10 most intense peaks (10 to 80 degrees two-theta), by intensity:
2theta	I/Imax
32.4	100
33.2	96
58.8	38
47.1	36
64.5	29
59.3	19
79.0	16
69.7	12
53.6	8
19.0	4

abc: 5.396 5.396 3.420
angles: 90.00 90.00 120.00
Atoms (fractional coordinates):
Tb 0.000 0.000 0.000
Hf 0.667 0.333 0.000
Th 0.333 0.667 0.500

=====

[3]
Computed X-ray diffraction stick pattern
Compound: TbHfTh
Radiation: Cu Kα, 1.54184 Å
Structure: a GGA-PBE-relaxed structure

The 10 most intense peaks (10 to 80 degrees two-theta), by intensity:
2theta	I/Imax
32.0	100
37.8	33
64.6	27
52.9	23
35.5	18
61.6	13
54.5	12
66.8	11
11.7	3
40.0	2

abc: 3.366 3.366 15.153
angles: 90.00 90.00 90.00
Atoms (fractional coordinates):
Tb 0.000 0.000 0.000
Tb 0.500 0.500 0.500
Hf 0.000 0.000 0.344
Hf 0.500 0.500 0.844
Th 0.000 0.000 0.687
Th 0.500 0.500 0.187

=====

[4]
Computed X-ray diffraction stick pattern
Compound: Tb14HfTh
Radiation: Cu Kα, 1.54184 Å
Structure: a GGA-PBE-relaxed structure

The 8 most intense peaks (10 to 80 degrees two-theta), by intensity:
2theta	I/Imax
31.0	100
36.0	51
61.6	42
51.8	36
64.7	12
76.3	6
37.1	1
71.3	1

abc: 7.061 7.061 9.983
angles: 90.00 90.00 90.00
Atoms (fractional coordinates):
Tb 0.000 0.000 0.000
Tb 0.000 0.500 0.000
Tb 0.000 0.500 0.500
Tb 0.246 0.246 0.257
Tb 0.246 0.246 0.743
Tb 0.246 0.754 0.257
Tb 0.246 0.754 0.743
Tb 0.500 0.000 0.000
Tb 0.500 0.000 0.500
Tb 0.500 0.500 0.000
Tb 0.754 0.246 0.257
Tb 0.754 0.246 0.743
Tb 0.754 0.754 0.257
Tb 0.754 0.754 0.743
Hf 0.000 0.000 0.500
Th 0.500 0.500 0.500

=====

[5]
Computed X-ray diffraction stick pattern
Compound: TbTm2Hf
Radiation: Cu Kα, 1.54184 Å
Structure: a GGA-PBE-relaxed structure

The 10 most intense peaks (10 to 80 degrees two-theta), by intensity:
2theta	I/Imax
33.1	100
35.7	64
32.3	43
64.0	37
53.6	34
30.7	28
56.4	23
40.8	23
64.5	15
66.1	11

abc: 3.418 3.418 33.235
angles: 90.00 90.00 120.00
Atoms (fractional coordinates):
Tb 0.000 0.000 0.000
Tb 0.333 0.667 0.667
Tb 0.667 0.333 0.333
Tm 0.000 0.000 0.245
Tm 0.000 0.000 0.422
Tm 0.333 0.667 0.089
Tm 0.333 0.667 0.912
Tm 0.667 0.333 0.578
Tm 0.667 0.333 0.756
Hf 0.000 0.000 0.834
Hf 0.333 0.667 0.501
Hf 0.667 0.333 0.167

=====

[6]
Computed X-ray diffraction stick pattern
Compound: TbHf2Zn9
Radiation: Cu Kα, 1.54184 Å
Structure: a GGA-PBE-relaxed structure

The 10 most intense peaks (10 to 80 degrees two-theta), by intensity:
2theta	I/Imax
40.4	100
34.0	49
31.7	37
39.6	34
34.7	27
65.2	24
71.6	21
59.4	14
43.3	14
43.5	13

abc: 8.901 8.901 8.901
angles: 34.46 34.46 34.46
Atoms (fractional coordinates):
Tb 0.000 0.000 0.000
Hf 0.144 0.144 0.144
Hf 0.856 0.856 0.856
Zn 0.078 0.590 0.590
Zn 0.335 0.335 0.335
Zn 0.410 0.410 0.922
Zn 0.410 0.922 0.410
Zn 0.500 0.500 0.500
Zn 0.590 0.078 0.590
Zn 0.590 0.590 0.078
Zn 0.665 0.665 0.665
Zn 0.922 0.410 0.410

=====

[7]
Computed X-ray diffraction stick pattern
Compound: TbHfZn17
Radiation: Cu Kα, 1.54184 Å
Structure: a GGA-PBE-relaxed structure

The 10 most intense peaks (10 to 80 degrees two-theta), by intensity:
2theta	I/Imax
40.8	100
40.6	54
35.0	41
41.5	30
28.7	27
45.9	22
41.8	22
36.1	22
73.9	21
75.2	19

abc: 6.728 6.728 6.728
angles: 82.62 82.62 82.62
Atoms (fractional coordinates):
Tb 0.000 0.000 0.000
Hf 0.666 0.666 0.666
Zn 0.033 0.338 0.634
Zn 0.033 0.634 0.338
Zn 0.189 0.685 0.685
Zn 0.240 0.240 0.240
Zn 0.326 0.326 0.844
Zn 0.326 0.844 0.326
Zn 0.338 0.033 0.634
Zn 0.338 0.634 0.033
Zn 0.440 0.440 0.440
Zn 0.514 0.973 0.973
Zn 0.634 0.033 0.338
Zn 0.634 0.338 0.033
Zn 0.685 0.189 0.685
Zn 0.685 0.685 0.189
Zn 0.844 0.326 0.326
Zn 0.973 0.514 0.973
Zn 0.973 0.973 0.514

=====

[8]
Computed X-ray diffraction stick pattern
Compound: Hf2TcTe2
Radiation: Cu Kα, 1.54184 Å
Structure: a GGA-PBE-relaxed structure

The 10 most intense peaks (10 to 80 degrees two-theta), by intensity:
2theta	I/Imax
35.8	100
38.2	37
72.7	19
62.8	17
47.9	13
56.4	11
29.0	10
52.1	8
16.8	8
48.9	7

abc: 7.451 7.451 3.800
angles: 90.00 90.00 90.00
Atoms (fractional coordinates):
Hf 0.147 0.353 0.000
Hf 0.353 0.853 0.000
Hf 0.647 0.147 0.000
Hf 0.853 0.647 0.000
Tc 0.000 0.000 0.500
Tc 0.500 0.500 0.500
Te 0.156 0.656 0.500
Te 0.344 0.156 0.500
Te 0.656 0.844 0.500
Te 0.844 0.344 0.500

=====

[9]
Computed X-ray diffraction stick pattern
Compound: HfTiTc4
Radiation: Cu Kα, 1.54184 Å
Structure: a GGA-PBE-relaxed structure

The 10 most intense peaks (10 to 80 degrees two-theta), by intensity:
2theta	I/Imax
40.8	100
42.7	38
66.1	31
34.6	29
72.9	25
21.0	13
24.2	12
61.9	10
56.0	5
54.5	3

abc: 5.191 5.191 5.191
angles: 60.00 60.00 60.00
Atoms (fractional coordinates):
Hf 0.000 0.000 0.000
Ti 0.750 0.750 0.750
Tc 0.375 0.375 0.375
Tc 0.375 0.375 0.874
Tc 0.375 0.874 0.375
Tc 0.874 0.375 0.375

=====

[10]
Computed X-ray diffraction stick pattern
Compound: Hf5TiTc6
Radiation: Cu Kα, 1.54184 Å
Structure: a GGA-PBE-relaxed structure

The 10 most intense peaks (10 to 80 degrees two-theta), by intensity:
2theta	I/Imax
39.3	100
39.4	99
71.4	45
56.9	34
71.2	17
27.5	11
71.5	6
15.1	4
23.8	3
27.1	3

abc: 7.926 7.926 4.588
angles: 106.75 106.75 120.04
Atoms (fractional coordinates):
Hf 0.000 0.000 0.000
Hf 0.167 0.833 0.500
Hf 0.335 0.665 0.000
Hf 0.665 0.335 0.000
Hf 0.833 0.167 0.500
Ti 0.500 0.500 0.500
Tc 0.088 0.417 0.253
Tc 0.255 0.255 0.755
Tc 0.417 0.088 0.253
Tc 0.583 0.912 0.747
Tc 0.745 0.745 0.245
Tc 0.912 0.583 0.747

=====

[11]
Computed X-ray diffraction stick pattern
Compound: Hf3TiTc4
Radiation: Cu Kα, 1.54184 Å
Structure: a GGA-PBE-relaxed structure

The 10 most intense peaks (10 to 80 degrees two-theta), by intensity:
2theta	I/Imax
39.5	100
71.7	33
57.1	17
34.8	4
27.7	4
13.7	3
28.5	3
31.0	3
65.1	2
64.6	2

abc: 3.227 3.227 12.896
angles: 90.00 90.00 90.00
Atoms (fractional coordinates):
Hf 0.000 0.000 0.000
Hf 0.000 0.000 0.255
Hf 0.000 0.000 0.745
Ti 0.000 0.000 0.500
Tc 0.500 0.500 0.128
Tc 0.500 0.500 0.383
Tc 0.500 0.500 0.617
Tc 0.500 0.500 0.872

=====

[12]
Computed X-ray diffraction stick pattern
Compound: HfTi3Tc
Radiation: Cu Kα, 1.54184 Å
Structure: a GGA-PBE-relaxed structure

The 10 most intense peaks (10 to 80 degrees two-theta), by intensity:
2theta	I/Imax
38.7	100
32.1	70
38.1	68
14.8	56
40.9	46
45.7	33
31.1	29
34.6	26
22.4	24
63.7	22

abc: 6.625 6.625 5.311
angles: 90.00 90.00 128.57
Atoms (fractional coordinates):
Hf 0.086 0.914 0.750
Hf 0.914 0.086 0.250
Ti 0.109 0.396 0.750
Ti 0.323 0.677 0.250
Ti 0.396 0.109 0.250
Ti 0.604 0.891 0.750
Ti 0.677 0.323 0.750
Ti 0.891 0.604 0.250
Tc 0.500 0.500 0.000
Tc 0.500 0.500 0.500